Entry 1:
Computed powder diffractogram
Compound: V2NiP2O10
Radiation: Cu Kα (weighted mean of Kα1 and Kα2)
Structure: a structure optimized by DFT (GGA+U)
Intensities are scaled so that the largest is 100.

Structural model:
Cell: 7.360 7.404 7.390 Å, 90.00 119.65 90.00°
Space group Pc (No. 7)
Symmetry-distinct sites (fractional):
V  0.000  0.025  0.000 [2 per cell]
V  0.479  0.475  0.072 [2 per cell]
Ni  0.739  0.250  0.536 [2 per cell]
P  0.488  0.127  0.786 [2 per cell]
P  0.991  0.373  0.286 [2 per cell]
O  0.010  0.257  0.125 [2 per cell]
O  0.181  0.497  0.401 [2 per cell]
O  0.298  0.004  0.670 [2 per cell]
O  0.469  0.243  0.947 [2 per cell]
O  0.509  0.411  0.308 [2 per cell]
O  0.519  0.253  0.632 [2 per cell]
O  0.683  0.001  0.891 [2 per cell]
O  0.796  0.500  0.181 [2 per cell]
O  0.960  0.247  0.439 [2 per cell]
O  0.971  0.088  0.763 [2 per cell]

Most intense lines, 5° ≤ 2θ ≤ 70°, sorted by position:
- hkl 1 0 0, 13.8 deg, rel. 21
- hkl 1 1 0, 18.3 deg, rel. 34
- hkl 1 1 -2, 26.9 deg, rel. 100
- hkl 2 1 -1, 27.1 deg, rel. 14
- hkl 0 2 1, 27.8 deg, rel. 37
- hkl 2 0 0, 27.9 deg, rel. 25
- hkl 1 2 -2, 34.3 deg, rel. 15
- hkl 1 3 0, 39.1 deg, rel. 25
- hkl 0 4 2, 57.5 deg, rel. 18
- hkl 4 0 0, 57.7 deg, rel. 12

=====

Entry 2:
Computed powder diffractogram
Compound: V2NiP2O10
Radiation: Cu Kα (weighted mean of Kα1 and Kα2)
Structure: a structure optimized by DFT (GGA+U)
Intensities are scaled so that the largest is 100.

Structural model:
Cell: 7.739 7.855 8.742 Å, 90.00 121.56 90.00°
Space group P2_1/c (No. 14)
Symmetry-distinct sites (fractional):
V  0.247  0.195  0.199 [4 per cell]
Ni  0.000  0.000  0.500 [2 per cell]
P  0.002  0.646  0.722 [4 per cell]
O  0.113  0.220  0.439 [4 per cell]
O  0.124  0.523  0.680 [4 per cell]
O  0.124  0.726  0.907 [4 per cell]
O  0.185  0.068  0.769 [4 per cell]
O  0.486  0.192  0.272 [4 per cell]

Most intense lines, 5° ≤ 2θ ≤ 70°, sorted by position:
- hkl 1 0 0, 13.4 deg, rel. 100
- hkl 1 1 0, 17.6 deg, rel. 34
- hkl 1 1 -2, 23.3 deg, rel. 9
- hkl 0 0 2, 23.9 deg, rel. 12
- hkl 1 1 1, 25.0 deg, rel. 10
- hkl 1 2 -1, 25.9 deg, rel. 16
- hkl 2 1 -2, 27.5 deg, rel. 8
- hkl 1 1 -3, 33.2 deg, rel. 12
- hkl 0 1 3, 38.0 deg, rel. 9
- hkl 3 2 -2, 42.0 deg, rel. 13

=====

Entry 3:
Computed powder diffractogram
Compound: V5NiP6O24
Radiation: Cu Kα (weighted mean of Kα1 and Kα2)
Structure: a structure optimized by DFT (GGA+U)
Intensities are scaled so that the largest is 100.

Structural model:
Cell: 8.6182 8.6182 20.6737 Å, 90.00 90.00 120.00°
Space group R3 (No. 146, hexagonal axes)
Symmetry-distinct sites (fractional):
V  0.0000  0.0000  0.0000 [3 per cell]
V  0.0000  0.0000  0.1428 [3 per cell]
V  0.0000  0.0000  0.3569 [3 per cell]
V  0.0000  0.0000  0.5010 [3 per cell]
V  0.0000  0.0000  0.8558 [3 per cell]
Ni  0.0000  0.0000  0.6428 [3 per cell]
P  0.9998  0.2942  0.2490 [9 per cell]
P  0.0394  0.6674  0.4153 [9 per cell]
O  0.0049  0.1981  0.3100 [9 per cell]
O  0.0069  0.8096  0.8095 [9 per cell]
O  0.0120  0.8342  0.4270 [9 per cell]
O  0.0128  0.1793  0.9243 [9 per cell]
O  0.1309  0.6722  0.3532 [9 per cell]
O  0.1526  0.4684  0.8559 [9 per cell]
O  0.1652  0.6739  0.7430 [9 per cell]
O  0.1656  0.4813  0.2365 [9 per cell]

Most intense lines, 5° ≤ 2θ ≤ 70°, sorted by position:
- hkl 1 1 0, 20.6 deg, rel. 69
- hkl 1 1 3, 24.4 deg, rel. 100
- hkl 2 1 1, 32.0 deg, rel. 16
- hkl 2 -1 6, 33.3 deg, rel. 58
- hkl 3 0 0, 36.1 deg, rel. 33
- hkl 3 -2 8, 47.7 deg, rel. 27
- hkl 4 -2 6, 49.9 deg, rel. 23
- hkl 4 1 0, 56.5 deg, rel. 20
- hkl 4 -1 8, 57.0 deg, rel. 14
- hkl 5 -1 6, 63.1 deg, rel. 16

=====

Entry 4:
Computed powder diffractogram
Compound: VNi3P4O16
Radiation: Cu Kα (weighted mean of Kα1 and Kα2)
Structure: a structure optimized by DFT (GGA+U)
Intensities are scaled so that the largest is 100.

Structural model:
Cell: 4.824 5.797 9.911 Å, 90.00 90.94 90.00°
Space group Pm (No. 6)
Symmetry-distinct sites (fractional):
V  0.000  0.000  0.000 [1 per cell]
Ni  0.434  0.000  0.508 [1 per cell]
Ni  0.511  0.500  0.048 [1 per cell]
Ni  0.941  0.500  0.547 [1 per cell]
P  0.036  0.500  0.866 [1 per cell]
P  0.376  0.500  0.372 [1 per cell]
P  0.579  0.000  0.181 [1 per cell]
P  0.892  0.000  0.676 [1 per cell]
O  0.145  0.500  0.725 [1 per cell]
O  0.176  0.289  0.951 [2 per cell]
O  0.202  0.000  0.673 [1 per cell]
O  0.232  0.293  0.444 [2 per cell]
O  0.265  0.000  0.141 [1 per cell]
O  0.313  0.500  0.220 [1 per cell]
O  0.631  0.000  0.328 [1 per cell]
O  0.694  0.500  0.387 [1 per cell]
O  0.727  0.500  0.881 [1 per cell]
O  0.732  0.199  0.100 [2 per cell]
O  0.737  0.208  0.612 [2 per cell]
O  0.828  0.000  0.838 [1 per cell]

Most intense lines, 5° ≤ 2θ ≤ 70°, sorted by position:
- hkl 0 0 2, 17.9 deg, rel. 100
- hkl 1 0 -1, 20.3 deg, rel. 47
- hkl 1 0 1, 20.6 deg, rel. 64
- hkl 0 1 2, 23.6 deg, rel. 30
- hkl 1 1 -1, 25.5 deg, rel. 67
- hkl 1 1 1, 25.8 deg, rel. 74
- hkl 0 2 0, 30.8 deg, rel. 96
- hkl 1 1 -3, 36.2 deg, rel. 75
- hkl 1 1 3, 36.7 deg, rel. 65
- hkl 2 2 -2, 52.5 deg, rel. 29

=====

Entry 5:
Computed powder diffractogram
Compound: VNi5P6O24
Radiation: Cu Kα (weighted mean of Kα1 and Kα2)
Structure: a structure optimized by DFT (GGA+U)
Intensities are scaled so that the largest is 100.

Structural model:
Cell: 8.6051 8.6051 20.5387 Å, 90.00 90.00 120.00°
Space group R3 (No. 146, hexagonal axes)
Symmetry-distinct sites (fractional):
V  0.0000  0.0000  0.0000 [3 per cell]
Ni  0.0000  0.0000  0.1472 [3 per cell]
Ni  0.0000  0.0000  0.2886 [3 per cell]
Ni  0.0000  0.0000  0.5048 [3 per cell]
Ni  0.0000  0.0000  0.6464 [3 per cell]
Ni  0.0000  0.0000  0.7871 [3 per cell]
P  0.9997  0.2963  0.8946 [9 per cell]
P  0.9998  0.7026  0.3955 [9 per cell]
O  0.0099  0.8377  0.0670 [9 per cell]
O  0.0154  0.1884  0.9552 [9 per cell]
O  0.0221  0.1884  0.5766 [9 per cell]
O  0.1301  0.6690  0.1245 [9 per cell]
O  0.1343  0.6704  0.0003 [9 per cell]
O  0.1399  0.4615  0.5003 [9 per cell]
O  0.1642  0.6762  0.3861 [9 per cell]
O  0.1695  0.4828  0.8874 [9 per cell]

Most intense lines, 5° ≤ 2θ ≤ 70°, sorted by position:
- hkl 1 1 0, 20.6 deg, rel. 100
- hkl 2 -1 3, 24.4 deg, rel. 97
- hkl 2 0 2, 25.4 deg, rel. 18
- hkl 1 1 6, 33.5 deg, rel. 74
- hkl 3 0 0, 36.2 deg, rel. 45
- hkl 1 2 8, 47.9 deg, rel. 36
- hkl 2 2 6, 50.1 deg, rel. 28
- hkl 1 4 0, 56.6 deg, rel. 26
- hkl 3 1 8, 57.2 deg, rel. 18
- hkl 4 1 6, 63.3 deg, rel. 22

=====

Entry 6:
Computed powder diffractogram
Compound: V3NiP6O24
Radiation: Cu Kα (weighted mean of Kα1 and Kα2)
Structure: a structure optimized by DFT (GGA+U)
Intensities are scaled so that the largest is 100.

Structural model:
Cell: 8.5593 8.5593 21.6998 Å, 90.00 90.00 120.00°
Space group R3 (No. 146, hexagonal axes)
Symmetry-distinct sites (fractional):
V  0.0000  0.0000  0.0000 [3 per cell]
V  0.0000  0.0000  0.2195 [3 per cell]
V  0.0000  0.0000  0.4998 [3 per cell]
Ni  0.0000  0.0000  0.7188 [3 per cell]
P  0.9996  0.7175  0.1103 [9 per cell]
P  0.0521  0.3848  0.2776 [9 per cell]
O  0.0176  0.1895  0.2665 [9 per cell]
O  0.0321  0.1965  0.5528 [9 per cell]
O  0.0322  0.8358  0.0522 [9 per cell]
O  0.0359  0.8341  0.7750 [9 per cell]
O  0.1634  0.4508  0.3352 [9 per cell]
O  0.1638  0.6827  0.8349 [9 per cell]
O  0.1717  0.4723  0.6182 [9 per cell]
O  0.1737  0.7014  0.1181 [9 per cell]

Most intense lines, 5° ≤ 2θ ≤ 70°, sorted by position:
- hkl 0 1 2, 14.5 deg, rel. 43
- hkl 1 0 4, 20.3 deg, rel. 59
- hkl 1 1 0, 20.8 deg, rel. 28
- hkl 1 1 3, 24.2 deg, rel. 100
- hkl 0 2 4, 29.2 deg, rel. 50
- hkl 2 1 1, 32.2 deg, rel. 16
- hkl 2 -1 6, 32.4 deg, rel. 28
- hkl 3 0 0, 36.4 deg, rel. 12
- hkl 3 -2 8, 46.6 deg, rel. 13
- hkl 3 -1 10, 53.4 deg, rel. 18

=====

Entry 7:
Computed powder diffractogram
Compound: V3Ni2P6WO24
Radiation: Cu Kα (weighted mean of Kα1 and Kα2)
Structure: a structure optimized by DFT (GGA+U)
Intensities are scaled so that the largest is 100.

Structural model:
Cell: 8.6976 8.6976 20.7766 Å, 90.00 90.00 120.00°
Space group R3 (No. 146, hexagonal axes)
Symmetry-distinct sites (fractional):
V  0.0000  0.0000  0.0000 [3 per cell]
V  0.0000  0.0000  0.2151 [3 per cell]
V  0.0000  0.0000  0.7169 [3 per cell]
Ni  0.0000  0.0000  0.3533 [3 per cell]
Ni  0.0000  0.0000  0.8578 [3 per cell]
P  0.0008  0.7024  0.6099 [9 per cell]
P  0.0431  0.3715  0.7755 [9 per cell]
W  0.0000  0.0000  0.5009 [3 per cell]
O  0.0057  0.2000  0.1699 [9 per cell]
O  0.0082  0.8077  0.6686 [9 per cell]
O  0.0128  0.1805  0.7835 [9 per cell]
O  0.0144  0.8329  0.2827 [9 per cell]
O  0.1348  0.4664  0.7141 [9 per cell]
O  0.1431  0.6771  0.2141 [9 per cell]
O  0.1656  0.4863  0.1026 [9 per cell]
O  0.1668  0.6842  0.5982 [9 per cell]

Most intense lines, 5° ≤ 2θ ≤ 70°, sorted by position:
- hkl 1 0 1, 12.5 deg, rel. 30
- hkl 1 1 0, 20.4 deg, rel. 100
- hkl 1 0 4, 20.8 deg, rel. 23
- hkl 1 1 3, 24.2 deg, rel. 77
- hkl 2 -1 6, 33.1 deg, rel. 65
- hkl 3 0 0, 35.8 deg, rel. 40
- hkl 1 2 8, 47.4 deg, rel. 31
- hkl 2 2 6, 49.5 deg, rel. 25
- hkl 1 4 0, 55.9 deg, rel. 25
- hkl 5 -1 6, 62.6 deg, rel. 20

=====

Entry 8:
Computed powder diffractogram
Compound: NiP6W3O24
Radiation: Cu Kα (weighted mean of Kα1 and Kα2)
Structure: a structure optimized by DFT (GGA+U)
Intensities are scaled so that the largest is 100.

Structural model:
Cell: 8.7585 8.7585 22.0575 Å, 90.00 90.00 120.00°
Space group R3 (No. 146, hexagonal axes)
Symmetry-distinct sites (fractional):
Ni  0.0000  0.0000  0.0000 [3 per cell]
P  0.0004  0.7178  0.1066 [9 per cell]
P  0.0039  0.2905  0.6092 [9 per cell]
W  0.0000  0.0000  0.2168 [3 per cell]
W  0.0000  0.0000  0.5023 [3 per cell]
W  0.0000  0.0000  0.7168 [3 per cell]
O  0.0099  0.1919  0.5517 [9 per cell]
O  0.0334  0.1948  0.2669 [9 per cell]
O  0.0325  0.8342  0.7697 [9 per cell]
O  0.0366  0.8295  0.0520 [9 per cell]
O  0.1559  0.6852  0.1191 [9 per cell]
O  0.1620  0.4619  0.3328 [9 per cell]
O  0.1629  0.4670  0.6124 [9 per cell]
O  0.1678  0.6947  0.8321 [9 per cell]

Most intense lines, 5° ≤ 2θ ≤ 70°, sorted by position:
- hkl 0 1 2, 14.2 deg, rel. 40
- hkl 1 0 4, 19.9 deg, rel. 100
- hkl 1 1 0, 20.3 deg, rel. 83
- hkl 2 -1 3, 23.6 deg, rel. 35
- hkl 0 2 4, 28.6 deg, rel. 56
- hkl 1 1 6, 31.8 deg, rel. 41
- hkl 2 1 4, 35.3 deg, rel. 35
- hkl 3 0 0, 35.5 deg, rel. 28
- hkl 4 -3 4, 46.2 deg, rel. 20
- hkl 3 -1 10, 52.3 deg, rel. 22